1.
Computed powder X-ray diffraction pattern
Compound: K2N2Cl5
Radiation: Cu Kα (λ = 1.5418 Å)
Structure: the PBE geometry in Alexandria
No peak broadening, texture or thermal motion is included.

Most intense lines, 5° ≤ 2θ ≤ 70°, most intense first:
29.15 deg, intensity 100; 33.27 deg, intensity 84; 37.01 deg, intensity 46; 25.88 deg, intensity 41; 25.17 deg, intensity 35; 24.94 deg, intensity 27; 51.66 deg, intensity 22; 20.20 deg, intensity 19; 34.74 deg, intensity 19; 35.15 deg, intensity 18

Structure:
Lattice parameters (Å, degrees): 10.330 4.943 4.943 79.34 90.00 90.00
Atoms (fractional coordinates):
1 K 0.000 0.000 0.000
2 K 0.500 0.048 0.048
3 N 0.135 0.357 0.357
4 N 0.865 0.357 0.357
5 Cl 0.209 0.039 0.487
6 Cl 0.209 0.487 0.039
7 Cl 0.500 0.640 0.640
8 Cl 0.791 0.039 0.487
9 Cl 0.791 0.487 0.039

2.
Computed powder X-ray diffraction pattern
Compound: KNCl2
Radiation: Cu Kα (λ = 1.5418 Å)
Structure: the PBE geometry in Alexandria
No peak broadening, texture or thermal motion is included.

Most intense lines, 5° ≤ 2θ ≤ 70°, most intense first:
27.96 deg, intensity 100; 34.92 deg, intensity 45; 26.72 deg, intensity 35; 28.39 deg, intensity 30; 37.84 deg, intensity 29; 40.54 deg, intensity 15; 33.41 deg, intensity 14; 45.60 deg, intensity 14; 24.74 deg, intensity 12; 21.83 deg, intensity 11

Structure:
Lattice parameters (Å, degrees): 10.082 5.139 8.901 90.00 90.00 90.00
Atoms (fractional coordinates):
1 K 0.144 0.250 0.108
2 K 0.356 0.750 0.608
3 K 0.644 0.250 0.392
4 K 0.856 0.750 0.892
5 N 0.044 0.750 0.283
6 N 0.456 0.250 0.783
7 N 0.544 0.750 0.217
8 N 0.956 0.250 0.717
9 Cl 0.081 0.250 0.607
10 Cl 0.171 0.750 0.901
11 Cl 0.329 0.250 0.401
12 Cl 0.419 0.750 0.107
13 Cl 0.581 0.250 0.893
14 Cl 0.671 0.750 0.599
15 Cl 0.829 0.250 0.099
16 Cl 0.919 0.750 0.393

3.
Computed powder X-ray diffraction pattern
Compound: K7N12Cl
Radiation: Cu Kα (λ = 1.5418 Å)
Structure: the PBE geometry in Alexandria
No peak broadening, texture or thermal motion is included.

Most intense lines, 5° ≤ 2θ ≤ 70°, most intense first:
28.25 deg, intensity 100; 39.88 deg, intensity 28; 40.88 deg, intensity 27; 50.43 deg, intensity 11; 47.85 deg, intensity 7; 66.85 deg, intensity 7; 24.60 deg, intensity 7; 58.43 deg, intensity 7; 65.45 deg, intensity 6; 48.74 deg, intensity 3

Structure:
Lattice parameters (Å, degrees): 7.710 7.710 7.710 98.50 98.50 98.50
Atoms (fractional coordinates):
1 K 0.000 0.000 0.000
2 K 0.165 0.593 0.288
3 K 0.288 0.165 0.593
4 K 0.407 0.712 0.835
5 K 0.593 0.288 0.165
6 K 0.712 0.835 0.407
7 K 0.835 0.407 0.712
8 N 0.023 0.714 0.653
9 N 0.105 0.852 0.638
10 N 0.148 0.362 0.895
11 N 0.286 0.347 0.977
12 N 0.347 0.977 0.286
13 N 0.362 0.895 0.148
14 N 0.638 0.105 0.852
15 N 0.653 0.023 0.714
16 N 0.714 0.653 0.023
17 N 0.852 0.638 0.105
18 N 0.895 0.148 0.362
19 N 0.977 0.286 0.347
20 Cl 0.500 0.500 0.500